This entry pairs a crystal structure of LaMg6Zr with its computed powder XRD pattern. Radiation: copper Kα. Structure: DFT lattice parameters and positions (PBE).

Largest 12 diffraction maxima, by angle, 2θ from 10° to 90°:
two_theta  intensity  index
15.14  54  0 0 2
16.84  43  1 0 0
22.72  44  1 0 2
30.54  20  0 0 4
31.47  36  0 2 2
32.36  17  1 2 0
34.06  36  2 0 0
35.08  52  1 0 4
35.90  100  1 2 2
47.05  23  2 2 2
62.16  19  3 2 2
66.18  19  2 2 6

Structural model:
Lattice parameters (Å, degrees): 5.265 6.504 11.707 90.00 90.00 90.00
Space group Amm2 (No. 38)
Inequivalent atoms, fractional coordinates:
La 0.000 0.000 0.000 [2 per cell]
Mg 0.000 0.250 0.251 [4 per cell]
Mg 0.500 0.000 0.173 [2 per cell]
Mg 0.500 0.000 0.663 [2 per cell]
Mg 0.500 0.238 0.416 [4 per cell]
Zr 0.000 0.000 0.495 [2 per cell]

This entry pairs a crystal structure of LaMnN3 with its computed powder XRD pattern. Radiation: copper Kα. Structure: DFT lattice parameters and positions (PBE).

Largest 12 diffraction maxima, by angle, 2θ from 10° to 90°:
two_theta  intensity  index
22.15  28  0 2 1
28.68  100  1 1 1
29.26  43  0 4 0
31.20  45  1 3 0
33.65  52  0 0 2
35.56  91  1 3 1
44.87  20  2 0 0
45.18  35  0 4 2
46.54  18  1 3 2
46.69  18  1 5 1
57.20  30  2 0 2
65.57  23  2 4 2

Structural model:
Lattice parameters (Å, degrees): 4.040 12.209 5.327 90.00 90.00 90.00
Space group Cmcm (No. 63)
Inequivalent atoms, fractional coordinates:
La 0.000 0.131 0.250 [4 per cell]
Mn 0.000 0.407 0.250 [4 per cell]
N 0.000 0.500 0.000 [4 per cell]
N 0.159 0.193 0.750 [8 per cell]

This entry pairs a crystal structure of LaMnN3 with its computed powder XRD pattern. Radiation: copper Kα. Structure: DFT lattice parameters and positions (PBE).

Largest 12 diffraction maxima, by angle, 2θ from 10° to 90°:
two_theta  intensity  index
18.69  25  2 0 0
23.80  39  1 1 0
25.35  41  1 1 -1
25.54  26  2 0 -2
28.89  53  0 0 2
30.23  95  1 1 1
33.09  100  4 0 -1
34.56  24  4 0 -2
44.04  23  3 1 1
44.55  24  0 2 0
44.90  46  3 1 -3
53.96  21  0 2 2

Structural model:
Lattice parameters (Å, degrees): 10.897 4.068 7.092 90.00 119.37 90.00
Space group C2/m (No. 12)
Inequivalent atoms, fractional coordinates:
La 0.220 0.000 0.238 [4 per cell]
Mn 0.041 0.000 0.687 [4 per cell]
N 0.084 0.343 0.878 [8 per cell]
N 0.142 0.000 0.535 [4 per cell]

This entry pairs a crystal structure of LaMn2Ni3 with its computed powder XRD pattern. Radiation: copper Kα. Structure: DFT lattice parameters and positions (PBE).

Largest 12 diffraction maxima, by angle, 2θ from 10° to 90°:
two_theta  intensity  index
29.90  53  1 0 1
34.54  29  1 1 0
40.09  43  2 0 0
41.46  100  1 1 1
45.38  25  0 0 2
46.32  9  2 0 1
58.25  12  1 1 2
59.04  15  2 1 1
62.13  23  2 0 2
66.61  23  3 0 1
72.84  17  2 2 0
81.13  13  1 1 3

Structural model:
Lattice parameters (Å, degrees): 5.1943 5.1943 3.9970 90.00 90.00 120.00
Space group P6/mmm (No. 191)
Inequivalent atoms, fractional coordinates:
La 0.0000 0.0000 0.0000 [1 per cell]
Mn 0.3333 0.6667 0.0000 [2 per cell]
Ni 0.0000 0.5000 0.5000 [3 per cell]